The following is a theoretical powder diffraction line list of LiCoAuSe2S. It was derived from a crystal structure in OQMD, relaxed with GGA-PBE, using Cu Kα, 1.54184 Å.

Most intense lines, 2θ from 15° to 90°, low angle first:
Position (°2θ)	intensity	(hkl)
15.9	97.8	0 2 1
27.5	44.4	0 4 1
29.1	51.3	1 1 1
33.2	100.0	1 3 0
37.6	48.0	0 0 4
51.0	58.4	1 3 4

Atomic structure:
```
data_LiCoAuSe2S
_cell_length_a 3.336
_cell_length_b 13.777
_cell_length_c 9.572
_cell_angle_alpha 90.00
_cell_angle_beta 90.00
_cell_angle_gamma 90.00
_symmetry_space_group_name_H-M 'C m c m'
_symmetry_Int_Tables_number 63
_symmetry_space_group_name_Hall '-C 2c 2'
loop_
_atom_site_label
_atom_site_type_symbol
_atom_site_fract_x
_atom_site_fract_y
_atom_site_fract_z
Li1 Li 0.000 0.188 0.250
Co1 Co 0.000 0.500 0.000
Au1 Au 0.000 0.155 0.750
Se1 Se 0.000 0.124 0.501
S1 S 0.000 0.459 0.750
```